Record 1
# BaP2O5
Calculated PXRD pattern, Cu Kα. Input: a crystal structure in Alexandria, relaxed with PBE.
Neutral-atom scattering factors, no anomalous dispersion.

Cell and atoms:
```
16
Lattice="0.000 11.780 3.547 3.439 0.000 3.547 3.439 11.780 0.000" Properties=species:S:1:pos:R:3 pbc="T T T"
Ba 0.000 0.000 0.000
Ba 1.720 5.890 1.774
P 3.434 10.329 3.302
P 3.444 13.231 3.302
P 5.164 16.220 5.076
P 5.154 19.122 5.076
O 4.740 10.310 2.506
O 4.719 13.200 2.463
O 3.000 4.471 4.237
O 2.159 10.361 2.463
O 3.021 7.360 4.280
O 3.439 11.780 4.228
O 2.138 13.251 2.506
O 3.858 16.201 4.280
O 3.879 19.090 4.237
O 5.159 17.671 6.002
```

The 10 most intense peaks (2θ = 10–80°), by angle:
| 2theta | d_spacing | Rel. int. |
| --- | --- | --- |
| 15.04 | 5.890 | 86 |
| 21.25 | 4.181 | 23 |
| 26.19 | 3.402 | 100 |
| 27.01 | 3.301 | 46 |
| 32.18 | 2.781 | 41 |
| 34.06 | 2.632 | 18 |
| 36.38 | 2.469 | 36 |
| 38.94 | 2.313 | 25 |
| 39.58 | 2.277 | 25 |
| 46.23 | 1.964 | 21 |

Record 2
# LiCaHoBr6
Calculated PXRD pattern, Cu Kα. Input: a crystal structure in Alexandria, relaxed with PBE.
Neutral-atom scattering factors, no anomalous dispersion.

Cell and atoms:
```
18
Lattice="7.171 0.000 0.000 -3.586 6.210 0.000 0.000 0.000 12.725" Properties=species:S:1:pos:R:3 pbc="T T T"
Li 0.000 0.000 0.000
Li 0.000 0.000 6.362
Ca 0.000 4.140 3.181
Ca 3.586 2.070 9.544
Ho 0.000 4.140 9.544
Ho 3.586 2.070 3.181
Br -1.146 2.138 7.954
Br -2.307 4.149 11.133
Br 1.146 2.138 11.133
Br -1.161 6.134 7.954
Br 2.425 0.076 1.592
Br 1.278 2.062 4.771
Br 2.307 4.149 7.954
Br 1.161 6.134 11.133
Br 4.746 0.076 4.771
Br 2.439 4.072 1.592
Br 5.893 2.062 1.592
Br 4.732 4.072 4.771
```

The 10 most intense peaks (2θ = 10–80°), by angle:
| 2theta | d_spacing | Rel. int. |
| --- | --- | --- |
| 13.92 | 6.362 | 17 |
| 14.26 | 6.210 | 13 |
| 15.88 | 5.581 | 24 |
| 28.58 | 3.124 | 100 |
| 37.81 | 2.380 | 44 |
| 43.73 | 2.070 | 34 |
| 49.96 | 1.825 | 21 |
| 53.07 | 1.726 | 19 |
| 71.13 | 1.325 | 13 |
| 75.36 | 1.261 | 13 |

Record 3
# TiFeSiNi
Calculated PXRD pattern, Cu Kα. Input: a crystal structure in Alexandria, relaxed with PBE.
Neutral-atom scattering factors, no anomalous dispersion.

Cell and atoms:
```
4
Lattice="-1.902 1.902 3.300 1.902 -1.902 3.300 1.902 1.902 -3.300" Properties=species:S:1:pos:R:3 pbc="T T T"
Ti 0.000 0.000 0.000
Fe 1.902 0.000 1.650
Si 0.000 0.000 3.300
Ni 0.000 1.902 1.650
```

The 10 most intense peaks (2θ = 10–80°), by angle:
| 2theta | d_spacing | Rel. int. |
| --- | --- | --- |
| 27.03 | 3.298 | 9 |
| 33.32 | 2.689 | 6 |
| 43.40 | 2.085 | 100 |
| 47.83 | 1.902 | 38 |
| 55.72 | 1.650 | 14 |
| 66.48 | 1.407 | 1 |
| 69.97 | 1.345 | 11 |
| 76.42 | 1.246 | 17 |
| 76.50 | 1.245 | 1 |
| 79.73 | 1.203 | 1 |

Record 4
# NdBe2Cu10
Calculated PXRD pattern, Cu Kα. Input: a crystal structure in Alexandria, relaxed with PBE.
Neutral-atom scattering factors, no anomalous dispersion.

Cell and atoms:
```
13
Lattice="0.000 5.804 6.120 2.370 0.000 6.120 2.370 5.804 0.000" Properties=species:S:1:pos:R:3 pbc="T T T"
Nd 0.000 0.000 0.000
Be 1.185 0.000 3.060
Be 1.185 5.804 3.060
Cu 1.185 2.902 0.000
Cu 2.370 3.796 2.200
Cu 2.370 4.527 4.628
Cu 2.370 7.811 2.200
Cu 2.370 7.080 4.628
Cu 1.185 2.902 6.120
Cu 2.370 4.527 7.612
Cu 2.370 3.796 10.040
Cu 2.370 7.080 7.612
Cu 2.370 7.811 10.040
```

The 10 most intense peaks (2θ = 10–80°), by angle:
| 2theta | d_spacing | Rel. int. |
| --- | --- | --- |
| 29.91 | 2.988 | 39 |
| 34.20 | 2.622 | 56 |
| 37.22 | 2.415 | 88 |
| 37.97 | 2.370 | 60 |
| 42.28 | 2.138 | 100 |
| 42.95 | 2.106 | 91 |
| 43.84 | 2.065 | 83 |
| 44.06 | 2.055 | 88 |
| 44.41 | 2.040 | 29 |
| 71.55 | 1.319 | 25 |

Record 5
# CaLa2Mg4
Calculated PXRD pattern, Cu Kα. Input: a crystal structure in Alexandria, relaxed with PBE.
Neutral-atom scattering factors, no anomalous dispersion.

Cell and atoms:
```
7
Lattice="2.767 1.597 7.945 -2.767 1.597 7.945 0.000 -3.195 7.945" Properties=species:S:1:pos:R:3 pbc="T T T"
Ca 0.000 0.000 0.000
La 0.000 0.000 6.644
La 0.000 0.000 17.192
Mg 0.000 0.000 3.231
Mg 0.000 0.000 10.285
Mg 0.000 0.000 13.551
Mg 0.000 0.000 20.606
```

The 10 most intense peaks (2θ = 10–80°), by angle:
| 2theta | d_spacing | Rel. int. |
| --- | --- | --- |
| 11.14 | 7.945 | 37 |
| 19.97 | 4.446 | 64 |
| 23.83 | 3.735 | 45 |
| 26.37 | 3.380 | 26 |
| 32.25 | 2.776 | 93 |
| 32.36 | 2.767 | 100 |
| 34.32 | 2.613 | 15 |
| 46.33 | 1.960 | 33 |
| 57.67 | 1.599 | 53 |
| 77.02 | 1.238 | 14 |

Record 6
# HoEr2Cu2
Calculated PXRD pattern, Cu Kα. Input: a crystal structure in Alexandria, relaxed with PBE.
Neutral-atom scattering factors, no anomalous dispersion.

Cell and atoms:
```
10
Lattice="3.469 0.000 0.000 0.000 5.022 0.000 -1.731 0.000 12.866" Properties=species:S:1:pos:R:3 pbc="T T T"
Ho 0.004 1.255 3.640
Ho 1.734 3.766 9.227
Er 0.002 3.766 1.200
Er 0.003 3.766 5.914
Er 1.735 1.255 6.953
Er 1.736 1.255 11.667
Cu -0.002 1.255 9.262
Cu 0.000 3.766 11.683
Cu 1.738 1.255 1.183
Cu 1.740 3.766 3.604
```

The 10 most intense peaks (2θ = 10–80°), by angle:
| 2theta | d_spacing | Rel. int. |
| --- | --- | --- |
| 25.92 | 3.437 | 10 |
| 27.35 | 3.261 | 23 |
| 34.87 | 2.573 | 18 |
| 35.76 | 2.511 | 29 |
| 35.98 | 2.496 | 100 |
| 50.80 | 1.797 | 12 |
| 52.78 | 1.734 | 10 |
| 60.45 | 1.531 | 9 |
| 64.40 | 1.447 | 18 |
| 65.40 | 1.427 | 10 |

Record 7
# PtRh2Pb6
Calculated PXRD pattern, Cu Kα. Input: a crystal structure in Alexandria, relaxed with PBE.
Neutral-atom scattering factors, no anomalous dispersion.

Cell and atoms:
```
18
Lattice="6.960 0.000 0.000 0.000 7.098 0.000 -5.436 0.000 8.932" Properties=species:S:1:pos:R:3 pbc="T T T"
Pt 0.000 0.000 0.000
Pt -2.718 3.549 4.466
Rh -2.483 1.074 6.546
Rh 0.235 2.475 2.079
Rh 1.288 4.623 6.853
Rh 4.007 6.024 2.387
Pb -1.663 1.084 3.733
Pb -4.381 2.465 8.199
Pb -0.242 4.760 3.874
Pb -2.960 5.887 8.340
Pb 1.487 0.046 2.420
Pb -1.231 3.504 6.886
Pb 2.755 3.595 2.046
Pb 0.036 7.053 6.512
Pb 4.484 1.211 0.593
Pb 1.765 2.338 5.059
Pb 5.905 4.633 0.733
Pb 3.187 6.014 5.199
```

The 10 most intense peaks (2θ = 10–80°), by angle:
| 2theta | d_spacing | Rel. int. |
| --- | --- | --- |
| 28.31 | 3.152 | 51 |
| 28.91 | 3.089 | 65 |
| 30.66 | 2.916 | 82 |
| 30.80 | 2.903 | 71 |
| 32.06 | 2.791 | 100 |
| 32.64 | 2.743 | 67 |
| 33.21 | 2.697 | 47 |
| 39.52 | 2.280 | 84 |
| 40.33 | 2.236 | 93 |
| 43.22 | 2.093 | 63 |